Diffraction record for Ba2CoRuO6. The X-ray diffraction stick pattern is calculated, not measured: it uses a crystal structure in Alexandria, relaxed with GGA+U and copper Kα.
No peak broadening, texture or thermal motion is included.

Crystal structure
Cell: 5.8007 5.8007 14.2847 Å, 90.00 90.00 120.00°
Space group P3m1 (No. 156)
One atom of each set of equivalent atoms:
Ba (0.0000, 0.0000, 0.0000) (multiplicity 1)
Ba (0.0000, 0.0000, 0.3132) (multiplicity 1)
Ba (0.3333, 0.6667, 0.4874) (multiplicity 1)
Ba (0.3333, 0.6667, 0.8219) (multiplicity 1)
Ba (0.6667, 0.3333, 0.1602) (multiplicity 1)
Ba (0.6667, 0.3333, 0.6552) (multiplicity 1)
Co (0.3333, 0.6667, 0.2518) (multiplicity 1)
Co (0.6667, 0.3333, 0.3842) (multiplicity 1)
Co (0.6667, 0.3333, 0.9112) (multiplicity 1)
Ru (0.0000, 0.0000, 0.5611) (multiplicity 1)
Ru (0.0000, 0.0000, 0.7561) (multiplicity 1)
Ru (0.3333, 0.6667, 0.0687) (multiplicity 1)
O (0.0076, 0.5038, 0.3297) (multiplicity 3)
O (0.0078, 0.5039, 0.9950) (multiplicity 3)
O (0.1495, 0.2991, 0.6609) (multiplicity 3)
O (0.1856, 0.3711, 0.1633) (multiplicity 3)
O (0.3255, 0.1627, 0.8289) (multiplicity 3)
O (0.3271, 0.1635, 0.4947) (multiplicity 3)

Most intense lines, 15° ≤ 2θ ≤ 90°, in order of rising 2θ:
- 25.8 deg, 3.456 Å, I = 27, (0 1 3)
- 30.7 deg, 2.911 Å, I = 56, (0 1 4)
- 30.8 deg, 2.900 Å, I = 100, (1 1 0)
- 36.2 deg, 2.483 Å, I = 18, (1 0 5)
- 40.6 deg, 2.222 Å, I = 20, (2 0 3)
- 44.1 deg, 2.055 Å, I = 34, (2 0 4)
- 48.2 deg, 1.886 Å, I = 13, (0 2 5)
- 54.8 deg, 1.676 Å, I = 41, (3 0 0)
- 64.2 deg, 1.450 Å, I = 19, (2 2 0)
- 89.4 deg, 1.096 Å, I = 16, (4 1 0)